No. 1
Structure and simulated powder XRD pattern of SrCdCoF6 (a PBE+U-relaxed structure; Cu Kα, 1.54184 Å).

Lattice parameters (Å, degrees): 5.6813 5.6813 10.2959 90.00 90.00 120.00
Space group P-31c (No. 163)
Unique sites:
Sr  0.0000  0.0000  0.0000
Cd  0.3333  0.6667  0.2500
Co  0.3333  0.6667  0.7500
F  0.0261  0.3652  0.6394

The 12 most intense peaks (2θ = 5–70°), by angle:
hkl 0 0 2, d = 5.148 Å, rel. 16; hkl 1 0 1, d = 4.439 Å, rel. 7; hkl 1 0 2, d = 3.557 Å, rel. 100; hkl 1 1 0, d = 2.841 Å, rel. 37; hkl 1 1 2, d = 2.487 Å, rel. 19; hkl 2 0 2, d = 2.220 Å, rel. 26; hkl 1 1 4, d = 1.907 Å, rel. 53; hkl 2 1 2, d = 1.749 Å, rel. 25; hkl 3 0 0, d = 1.640 Å, rel. 21; hkl 1 0 6, d = 1.620 Å, rel. 9; hkl 2 0 6, d = 1.408 Å, rel. 7; hkl 3 0 4, d = 1.383 Å, rel. 6

***

No. 2
Structure and simulated powder XRD pattern of Tl2CdCoF6 (a PBE+U-relaxed structure; Cu Kα, 1.54184 Å).

Lattice parameters (Å, degrees): 6.1275 6.1453 8.6607 90.00 90.00 90.00
Space group Immm (No. 71)
Unique sites:
Tl  0.0000  0.0000  0.2472
Cd  0.0000  0.5000  0.0000
Co  0.0000  0.5000  0.5000
F  0.0000  0.5000  0.2617
F  0.2416  0.2633  0.5000

The 12 most intense peaks (2θ = 5–70°), by angle:
hkl 1 1 0, d = 4.336 Å, rel. 12; hkl 0 2 0, d = 3.066 Å, rel. 100; hkl 2 0 2, d = 2.503 Å, rel. 15; hkl 2 2 0, d = 2.168 Å, rel. 31; hkl 2 2 2, d = 1.941 Å, rel. 3; hkl 3 1 0, d = 1.938 Å, rel. 3; hkl 1 3 2, d = 1.772 Å, rel. 21; hkl 3 1 2, d = 1.769 Å, rel. 21; hkl 0 4 0, d = 1.536 Å, rel. 3; hkl 4 0 0, d = 1.532 Å, rel. 17; hkl 2 4 0, d = 1.372 Å, rel. 9; hkl 4 2 0, d = 1.370 Å, rel. 9